Theoretical powder X-ray diffraction pattern
Compound: PmIn2Pt
Radiation: copper Kα
Structure: DFT lattice parameters and positions (PBE)
Neutral-atom scattering factors, no anomalous dispersion.

Top 6 peaks for 15 to 90 degrees two-theta, by angle:
- 2.828 Å, 2θ = 31.6°, I 64.9
- 2.772 Å, 2θ = 32.3°, I 29.5
- 2.720 Å, 2θ = 32.9°, I 27.3
- 2.578 Å, 2θ = 34.8°, I 100.0
- 2.541 Å, 2θ = 35.3°, I 26.0
- 2.224 Å, 2θ = 40.6°, I 65.3

Structure:
a b c (Å): 16.838 7.637 5.793
angles (deg): 90.00 90.00 90.00
Space group Pnma (No. 62)
Symmetry-distinct sites (fractional):
Pm 0.106 0.250 0.233
Pm 0.145 0.750 0.470
In 0.033 0.048 0.737
In 0.215 0.551 0.973
Pt 0.073 0.750 0.987
Pt 0.172 0.250 0.730

***

Theoretical powder X-ray diffraction pattern
Compound: Pm8In2Pt
Radiation: copper Kα
Structure: DFT lattice parameters and positions (PBE)
Neutral-atom scattering factors, no anomalous dispersion.

Top 6 peaks for 15 to 90 degrees two-theta, by angle:
- 3.047 Å, 2θ = 29.3°, I 71.3
- 2.866 Å, 2θ = 31.2°, I 100.0
- 2.694 Å, 2θ = 33.3°, I 62.0
- 2.590 Å, 2θ = 34.6°, I 84.9
- 2.522 Å, 2θ = 35.6°, I 31.7
- 2.428 Å, 2θ = 37.0°, I 39.1

Structure:
a b c (Å): 19.473 5.179 6.903
angles (deg): 90.00 104.62 90.00
Space group C2/m (No. 12)
Symmetry-distinct sites (fractional):
Pm 0.017 0.000 0.280
Pm 0.091 0.500 0.957
Pm 0.149 0.500 0.484
Pm 0.212 0.000 0.810
In 0.183 0.000 0.249
Pt 0.000 0.500 0.500

***

Theoretical powder X-ray diffraction pattern
Compound: Pm2In5Rh4
Radiation: copper Kα
Structure: DFT lattice parameters and positions (PBE)
Neutral-atom scattering factors, no anomalous dispersion.

Top 6 peaks for 15 to 90 degrees two-theta, by angle:
- 3.225 Å, 2θ = 27.7°, I 45.5
- 2.873 Å, 2θ = 31.1°, I 32.7
- 2.584 Å, 2θ = 34.7°, I 100.0
- 2.507 Å, 2θ = 35.8°, I 54.7
- 2.374 Å, 2θ = 37.9°, I 88.3
- 2.090 Å, 2θ = 43.3°, I 38.8

Structure:
a b c (Å): 5.770 10.140 16.722
angles (deg): 90.00 90.00 90.00
Space group Fmmm (No. 69)
Symmetry-distinct sites (fractional):
Pm 0.000 0.000 0.143
In 0.000 0.000 0.500
In 0.250 0.250 0.000
In 0.250 0.250 0.250
Rh 0.000 0.149 0.370

***

Theoretical powder X-ray diffraction pattern
Compound: Pm7In2Rh
Radiation: copper Kα
Structure: DFT lattice parameters and positions (PBE)
Neutral-atom scattering factors, no anomalous dispersion.

Top 6 peaks for 15 to 90 degrees two-theta, by angle:
- 5.524 Å, 2θ = 16.0°, I 29.5
- 3.189 Å, 2θ = 28.0°, I 77.6
- 2.762 Å, 2θ = 32.4°, I 100.0
- 1.953 Å, 2θ = 46.5°, I 72.5
- 1.665 Å, 2θ = 55.1°, I 34.1
- 1.235 Å, 2θ = 77.2°, I 31.4

Structure:
a b c (Å): 11.047 11.047 11.047
angles (deg): 90.00 90.00 90.00
Space group Fm-3m (No. 225)
Symmetry-distinct sites (fractional):
Pm 0.000 0.000 0.000
Pm 0.000 0.000 0.257
In 0.250 0.250 0.250
Rh 0.000 0.000 0.500

***

Theoretical powder X-ray diffraction pattern
Compound: Pm2InRh
Radiation: copper Kα
Structure: DFT lattice parameters and positions (PBE)
Neutral-atom scattering factors, no anomalous dispersion.

Top 6 peaks for 15 to 90 degrees two-theta, by angle:
- 2.636 Å, 2θ = 34.0°, I 100.0
- 2.562 Å, 2θ = 35.0°, I 53.7
- 1.812 Å, 2θ = 50.4°, I 22.2
- 1.537 Å, 2θ = 60.2°, I 15.2
- 1.493 Å, 2θ = 62.2°, I 34.3
- 1.318 Å, 2θ = 71.6°, I 11.0

Structure:
a b c (Å): 3.624 3.624 7.680
angles (deg): 90.00 90.00 90.00
Space group P4/mmm (No. 123)
Symmetry-distinct sites (fractional):
Pm 0.000 0.000 0.218
In 0.500 0.500 0.500
Rh 0.500 0.500 0.000

***

Theoretical powder X-ray diffraction pattern
Compound: PmIn12Rh4
Radiation: copper Kα
Structure: DFT lattice parameters and positions (PBE)
Neutral-atom scattering factors, no anomalous dispersion.

Top 6 peaks for 15 to 90 degrees two-theta, by angle:
- 3.024 Å, 2θ = 29.5°, I 100.0
- 2.556 Å, 2θ = 35.1°, I 56.0
- 2.138 Å, 2θ = 42.3°, I 23.2
- 1.952 Å, 2θ = 46.5°, I 38.2
- 1.640 Å, 2θ = 56.1°, I 20.8
- 1.127 Å, 2θ = 86.3°, I 21.4

Structure:
a b c (Å): 9.563 9.563 9.563
angles (deg): 90.00 90.00 90.00
Space group Im-3 (No. 204)
Symmetry-distinct sites (fractional):
Pm 0.000 0.000 0.000
In 0.000 0.330 0.167
Rh 0.250 0.250 0.250